(1)
The following is a simulated powder X-ray diffraction pattern of CsNa2Cd2Cl7. It was derived from a PBE-relaxed structure, using Cu Ka.
Intensities are scaled so that the largest is 1000.

The 10 most intense peaks (10 to 80 degrees two-theta), by intensity:
| 2θ (°) | I (rel.) |
| --- | --- |
| 32.8 | 1000 |
| 20.3 | 964 |
| 46.8 | 605 |
| 25.9 | 546 |
| 32.4 | 455 |
| 23.1 | 416 |
| 38.9 | 361 |
| 47.1 | 339 |
| 42.3 | 302 |
| 58.3 | 299 |

Cell and atoms:
```
data_CsNa2Cd2Cl7
_cell_length_a 5.457
_cell_length_b 5.457
_cell_length_c 22.105
_cell_angle_alpha 90.00
_cell_angle_beta 90.00
_cell_angle_gamma 90.00
_space_group_name_H-M_alt 'I 4/m m m'
_space_group_IT_number 139
_space_group_name_Hall '-I 4 2'
loop_
_atom_site_label
_atom_site_fract_x
_atom_site_fract_y
_atom_site_fract_z
Cs1 0.000 0.000 0.000
Na1 0.000 0.500 0.250
Cd1 0.000 0.000 0.382
Cl1 0.000 0.000 0.265
Cl2 0.000 0.000 0.500
Cl3 0.000 0.500 0.120
```

***

(2)
The following is a simulated powder X-ray diffraction pattern of Li2Ru3O8. It was derived from a PBE-relaxed structure, using Cu Ka.
Intensities are scaled so that the largest is 1000.

The 10 most intense peaks (10 to 80 degrees two-theta), by intensity:
| 2θ (°) | I (rel.) |
| --- | --- |
| 17.8 | 1000 |
| 19.8 | 369 |
| 43.2 | 354 |
| 35.9 | 341 |
| 25.2 | 245 |
| 61.5 | 212 |
| 34.3 | 202 |
| 41.6 | 190 |
| 28.8 | 158 |
| 37.4 | 113 |

Cell and atoms:
```
data_Li2Ru3O8
_cell_length_a 5.781
_cell_length_b 12.130
_cell_length_c 8.692
_cell_angle_alpha 90.00
_cell_angle_beta 90.00
_cell_angle_gamma 90.00
_space_group_name_H-M_alt 'C m c e'
_space_group_IT_number 64
_space_group_name_Hall '-C 2ac 2'
loop_
_atom_site_label
_atom_site_fract_x
_atom_site_fract_y
_atom_site_fract_z
Li1 0.000 0.116 0.121
Ru1 0.000 0.000 0.500
Ru2 0.250 0.143 0.750
O1 0.000 0.015 0.731
O2 0.000 0.248 0.262
O3 0.241 0.111 0.535
```

***

(3)
The following is a simulated powder X-ray diffraction pattern of PmDyTeSe. It was derived from a PBE-relaxed structure, using Cu Ka.
Intensities are scaled so that the largest is 1000.

The 10 most intense peaks (10 to 80 degrees two-theta), by intensity:
| 2θ (°) | I (rel.) |
| --- | --- |
| 31.8 | 1000 |
| 37.3 | 649 |
| 44.0 | 566 |
| 26.2 | 558 |
| 66.9 | 308 |
| 55.3 | 207 |
| 73.2 | 179 |
| 59.0 | 171 |
| 76.5 | 159 |
| 25.3 | 142 |

Cell and atoms:
```
data_PmDyTeSe
_cell_length_a 4.1156
_cell_length_b 4.1156
_cell_length_c 22.8718
_cell_angle_alpha 90.00
_cell_angle_beta 90.00
_cell_angle_gamma 120.00
_space_group_name_H-M_alt 'R 3 m'
_space_group_IT_number 160
_space_group_name_Hall 'R 3 -2"'
loop_
_atom_site_label
_atom_site_fract_x
_atom_site_fract_y
_atom_site_fract_z
Pm1 0.0000 0.0000 0.0000
Dy1 0.0000 0.0000 0.1620
Te1 0.0000 0.0000 0.5776
Se1 0.0000 0.0000 0.7518
```

***

(4)
The following is a simulated powder X-ray diffraction pattern of DyCu9Si2. It was derived from a PBE-relaxed structure, using Cu Ka.
Intensities are scaled so that the largest is 1000.

The 10 most intense peaks (10 to 80 degrees two-theta), by intensity:
| 2θ (°) | I (rel.) |
| --- | --- |
| 39.9 | 1000 |
| 40.2 | 749 |
| 47.4 | 326 |
| 72.8 | 276 |
| 35.1 | 262 |
| 43.2 | 262 |
| 30.1 | 178 |
| 45.9 | 165 |
| 49.5 | 164 |
| 30.5 | 157 |

Cell and atoms:
```
data_DyCu9Si2
_cell_length_a 10.042
_cell_length_b 10.042
_cell_length_c 6.423
_cell_angle_alpha 90.00
_cell_angle_beta 90.00
_cell_angle_gamma 90.00
_space_group_name_H-M_alt 'I 41/a m d'
_space_group_IT_number 141
loop_
_space_group_symop_operation_xyz
'x,y,z'
'-x,-y,-z'
'-y+1/4,x+3/4,z+1/4'
'y+1/4,-x+3/4,-z+1/4'
'-x+1/2,-y,z+1/2'
'x+1/2,y,-z+1/2'
'y+1/4,-x+1/4,z+3/4'
'-y+1/4,x+1/4,-z+3/4'
'x,-y,-z'
'-x,y,z'
'-y+1/4,-x+1/4,-z+3/4'
'y+1/4,x+1/4,z+3/4'
'-x+1/2,y,-z+1/2'
'x+1/2,-y,z+1/2'
'y+1/4,x+3/4,-z+1/4'
'-y+1/4,-x+3/4,z+1/4'
'x+1/2,y+1/2,z+1/2'
'-x+1/2,-y+1/2,-z+1/2'
'-y+3/4,x+1/4,z+3/4'
'y+3/4,-x+1/4,-z+3/4'
'-x,-y+1/2,z'
'x,y+1/2,-z'
'y+3/4,-x+3/4,z+1/4'
'-y+3/4,x+3/4,-z+1/4'
'x+1/2,-y+1/2,-z+1/2'
'-x+1/2,y+1/2,z+1/2'
'-y+3/4,-x+3/4,-z+1/4'
'y+3/4,x+3/4,z+1/4'
'-x,y+1/2,-z'
'x,-y+1/2,z'
'y+3/4,x+1/4,-z+3/4'
'-y+3/4,-x+1/4,z+3/4'
loop_
_atom_site_label
_atom_site_fract_x
_atom_site_fract_y
_atom_site_fract_z
Dy1 0.000 0.250 0.375
Cu1 0.000 0.250 0.875
Cu2 0.122 0.045 0.685
Si1 0.000 0.000 0.000
```

***

(5)
The following is a simulated powder X-ray diffraction pattern of Cs8Rb3H. It was derived from a PBE-relaxed structure, using Cu Ka.
Intensities are scaled so that the largest is 1000.

The 10 most intense peaks (10 to 80 degrees two-theta), by intensity:
| 2θ (°) | I (rel.) |
| --- | --- |
| 19.8 | 1000 |
| 21.9 | 897 |
| 19.5 | 710 |
| 22.5 | 519 |
| 28.8 | 407 |
| 37.3 | 355 |
| 23.9 | 353 |
| 23.2 | 294 |
| 36.2 | 292 |
| 38.3 | 232 |

Cell and atoms:
```
data_Cs8Rb3H
_cell_length_a 14.9003
_cell_length_b 14.9003
_cell_length_c 12.4442
_cell_angle_alpha 90.00
_cell_angle_beta 90.00
_cell_angle_gamma 120.00
_space_group_name_H-M_alt 'P 63 m c'
_space_group_IT_number 186
_space_group_name_Hall 'P 6c -2c'
loop_
_atom_site_label
_atom_site_fract_x
_atom_site_fract_y
_atom_site_fract_z
Cs1 0.0000 0.0000 0.0086
Cs2 0.1107 0.5553 0.0000
Cs3 0.2074 0.4149 0.6588
Cs4 0.3333 0.6667 0.3101
Rb1 0.1467 0.2933 0.2686
H1 0.3333 0.6667 0.0709
```

***

(6)
The following is a simulated powder X-ray diffraction pattern of RbC2N3. It was derived from a PBE-relaxed structure, using Cu Ka.
Intensities are scaled so that the largest is 1000.

The 10 most intense peaks (10 to 80 degrees two-theta), by intensity:
| 2θ (°) | I (rel.) |
| --- | --- |
| 28.1 | 1000 |
| 33.4 | 445 |
| 16.6 | 437 |
| 26.2 | 307 |
| 40.9 | 170 |
| 24.3 | 152 |
| 63.2 | 150 |
| 20.5 | 144 |
| 30.6 | 140 |
| 31.0 | 139 |

Cell and atoms:
```
data_RbC2N3
_cell_length_a 8.666
_cell_length_b 6.814
_cell_length_c 7.908
_cell_angle_alpha 90.00
_cell_angle_beta 90.00
_cell_angle_gamma 90.00
_space_group_name_H-M_alt 'P b c m'
_space_group_IT_number 57
_space_group_name_Hall '-P 2c 2b'
loop_
_atom_site_label
_atom_site_fract_x
_atom_site_fract_y
_atom_site_fract_z
Rb1 0.184 0.250 0.000
C1 0.183 0.731 0.250
C2 0.434 0.653 0.750
N1 0.079 0.618 0.250
N2 0.285 0.629 0.750
N3 0.429 0.154 0.750
```

***

(7)
The following is a simulated powder X-ray diffraction pattern of NdAs2Rh5. It was derived from a PBE-relaxed structure, using Cu Ka.
Intensities are scaled so that the largest is 1000.

The 10 most intense peaks (10 to 80 degrees two-theta), by intensity:
| 2θ (°) | I (rel.) |
| --- | --- |
| 35.4 | 1000 |
| 35.9 | 909 |
| 45.4 | 568 |
| 45.9 | 390 |
| 66.5 | 355 |
| 44.9 | 271 |
| 31.8 | 159 |
| 48.9 | 153 |
| 77.8 | 143 |
| 45.7 | 129 |

Cell and atoms:
```
data_NdAs2Rh5
_cell_length_a 3.952
_cell_length_b 7.040
_cell_length_c 9.715
_cell_angle_alpha 90.00
_cell_angle_beta 90.00
_cell_angle_gamma 90.00
_space_group_name_H-M_alt 'I m m m'
_space_group_IT_number 71
_space_group_name_Hall '-I 2 2'
loop_
_atom_site_label
_atom_site_fract_x
_atom_site_fract_y
_atom_site_fract_z
Nd1 0.000 0.000 0.000
As1 0.000 0.500 0.246
Rh1 0.000 0.197 0.355
Rh2 0.000 0.500 0.000
```

***

(8)
The following is a simulated powder X-ray diffraction pattern of ErAlPd. It was derived from a PBE-relaxed structure, using Cu Ka.
Intensities are scaled so that the largest is 1000.

The 10 most intense peaks (10 to 80 degrees two-theta), by intensity:
| 2θ (°) | I (rel.) |
| --- | --- |
| 33.7 | 1000 |
| 42.5 | 844 |
| 36.9 | 816 |
| 36.2 | 806 |
| 33.1 | 698 |
| 34.1 | 655 |
| 36.8 | 635 |
| 33.2 | 558 |
| 22.2 | 495 |
| 26.7 | 460 |

Cell and atoms:
```
data_ErAlPd
_cell_length_a 7.018
_cell_length_b 4.258
_cell_length_c 11.874
_cell_angle_alpha 90.00
_cell_angle_beta 91.59
_cell_angle_gamma 90.00
_space_group_name_H-M_alt 'P 1 21/m 1'
_space_group_IT_number 11
_space_group_name_Hall '-P 2yb'
loop_
_atom_site_label
_atom_site_fract_x
_atom_site_fract_y
_atom_site_fract_z
Er1 0.031 0.250 0.374
Er2 0.155 0.250 0.082
Er3 0.466 0.750 0.710
Al1 0.139 0.250 0.797
Al2 0.355 0.750 0.457
Al3 0.498 0.750 0.083
Pd1 0.242 0.750 0.244
Pd2 0.267 0.750 0.909
Pd3 0.271 0.250 0.576
```

***

Please write out number 7 again, unchanged.
The following is a simulated powder X-ray diffraction pattern of NdAs2Rh5. It was derived from a PBE-relaxed structure, using Cu Ka.
Intensities are scaled so that the largest is 1000.

The 10 most intense peaks (10 to 80 degrees two-theta), by intensity:
| 2θ (°) | I (rel.) |
| --- | --- |
| 35.4 | 1000 |
| 35.9 | 909 |
| 45.4 | 568 |
| 45.9 | 390 |
| 66.5 | 355 |
| 44.9 | 271 |
| 31.8 | 159 |
| 48.9 | 153 |
| 77.8 | 143 |
| 45.7 | 129 |

Cell and atoms:
```
data_NdAs2Rh5
_cell_length_a 3.952
_cell_length_b 7.040
_cell_length_c 9.715
_cell_angle_alpha 90.00
_cell_angle_beta 90.00
_cell_angle_gamma 90.00
_space_group_name_H-M_alt 'I m m m'
_space_group_IT_number 71
_space_group_name_Hall '-I 2 2'
loop_
_atom_site_label
_atom_site_fract_x
_atom_site_fract_y
_atom_site_fract_z
Nd1 0.000 0.000 0.000
As1 0.000 0.500 0.246
Rh1 0.000 0.197 0.355
Rh2 0.000 0.500 0.000
```